No. 1
This entry pairs a crystal structure of ScSn2 with its calculated PXRD pattern. Radiation: CuKα. Structure: a GGA-PBE-relaxed structure.
Neutral-atom scattering factors, no anomalous dispersion.

Atomic structure:
```
ScSn2
1.0
-2.139 2.139 15.577
2.139 -2.139 15.577
2.139 2.139 -15.577
Sc Sn
4 8
Direct
0.049 0.299 0.750
0.299 0.049 0.250
0.701 0.951 0.750
0.951 0.701 0.250
0.125 0.875 0.250
0.216 0.466 0.750
0.375 0.625 0.750
0.466 0.216 0.250
0.534 0.784 0.750
0.625 0.375 0.250
0.784 0.534 0.250
0.875 0.125 0.750
```

Peak list (8 most intense, 10° ≤ 2θ ≤ 80°, by intensity)
- 34.30°, 2.614 Å, I = 1000
- 42.24°, 2.139 Å, I = 296
- 72.14°, 1.309 Å, I = 238
- 55.67°, 1.651 Å, I = 216
- 34.55°, 2.596 Å, I = 210
- 61.75°, 1.502 Å, I = 122
- 72.29°, 1.307 Å, I = 102
- 61.27°, 1.513 Å, I = 100


No. 2
This entry pairs a crystal structure of CaSmZn2Pt2 with its calculated PXRD pattern. Radiation: CuKα. Structure: a GGA-PBE-relaxed structure.
Neutral-atom scattering factors, no anomalous dispersion.

Atomic structure:
```
CaSmZn2Pt2
1.0
4.430 0.000 0.000
-2.215 3.836 0.000
0.000 0.000 7.456
Ca Sm Zn Pt
1 1 2 2
Direct
0.000 0.000 0.000
0.000 0.000 0.500
0.333 0.667 0.752
0.667 0.333 0.248
0.333 0.667 0.262
0.667 0.333 0.738
```

Peak list (8 most intense, 10° ≤ 2θ ≤ 80°, by intensity)
- 33.52°, 2.674 Å, I = 1000
- 40.74°, 2.215 Å, I = 726
- 26.12°, 3.411 Å, I = 461
- 65.44°, 1.426 Å, I = 336
- 53.74°, 1.706 Å, I = 259
- 69.57°, 1.351 Å, I = 236
- 23.87°, 3.728 Å, I = 204
- 47.76°, 1.904 Å, I = 197


No. 3
This entry pairs a crystal structure of CaTmMg2 with its calculated PXRD pattern. Radiation: CuKα. Structure: a GGA-PBE-relaxed structure.
Neutral-atom scattering factors, no anomalous dispersion.

Atomic structure:
```
CaTmMg2
1.0
3.852 0.000 0.000
0.000 3.852 0.000
0.000 0.000 7.743
Ca Tm Mg
1 1 2
Direct
0.000 0.000 0.000
0.000 0.000 0.500
0.500 0.500 0.267
0.500 0.500 0.733
```

Peak list (8 most intense, 10° ≤ 2θ ≤ 80°, by intensity)
- 32.83°, 2.728 Å, I = 1000
- 11.43°, 7.743 Å, I = 469
- 23.09°, 3.852 Å, I = 299
- 25.83°, 3.449 Å, I = 253
- 58.66°, 1.574 Å, I = 244
- 22.97°, 3.872 Å, I = 154
- 34.92°, 2.569 Å, I = 142
- 40.49°, 2.228 Å, I = 140


No. 4
This entry pairs a crystal structure of MgNi4Ir2 with its calculated PXRD pattern. Radiation: CuKα. Structure: a GGA-PBE-relaxed structure.
Neutral-atom scattering factors, no anomalous dispersion.

Atomic structure:
```
MgNi4Ir2
1.0
-2.137 2.137 6.073
2.137 -2.137 6.073
2.137 2.137 -6.073
Mg Ni Ir
1 4 2
Direct
0.000 0.000 0.000
0.000 0.500 0.500
0.201 0.201 0.000
0.500 0.000 0.500
0.799 0.799 0.000
0.392 0.392 0.000
0.608 0.608 0.000
```

Peak list (8 most intense, 10° ≤ 2θ ≤ 80°, by intensity)
- 22.05°, 4.031 Å, I = 1000
- 42.82°, 2.112 Å, I = 945
- 42.30°, 2.137 Å, I = 790
- 29.56°, 3.022 Å, I = 768
- 61.76°, 1.502 Å, I = 631
- 42.19°, 2.142 Å, I = 591
- 48.20°, 1.888 Å, I = 266
- 61.36°, 1.511 Å, I = 256


No. 5
This entry pairs a crystal structure of La3Zn2Ni6 with its calculated PXRD pattern. Radiation: CuKα. Structure: a GGA-PBE-relaxed structure.
Neutral-atom scattering factors, no anomalous dispersion.

Atomic structure:
```
La3Zn2Ni6
1.0
-4.581 4.581 4.581
4.581 -4.581 4.581
4.581 4.581 -4.581
La Zn Ni
6 4 12
Direct
0.000 0.297 0.297
0.000 0.703 0.703
0.297 0.000 0.297
0.297 0.297 0.000
0.703 0.000 0.703
0.703 0.703 0.000
0.000 0.000 0.500
0.000 0.500 0.000
0.500 0.000 0.000
0.500 0.500 0.500
0.000 0.338 0.662
0.000 0.662 0.338
0.324 0.662 0.662
0.338 0.000 0.662
0.338 0.338 0.676
0.338 0.662 0.000
0.338 0.676 0.338
0.662 0.000 0.338
0.662 0.324 0.662
0.662 0.338 0.000
0.662 0.662 0.324
0.676 0.338 0.338
```

Peak list (8 most intense, 10° ≤ 2θ ≤ 80°, by intensity)
- 41.83°, 2.160 Å, I = 1000
- 33.89°, 2.645 Å, I = 348
- 30.86°, 2.897 Å, I = 318
- 76.38°, 1.247 Å, I = 289
- 36.70°, 2.449 Å, I = 211
- 39.33°, 2.291 Å, I = 208
- 67.85°, 1.381 Å, I = 148
- 54.88°, 1.673 Å, I = 147


No. 6
This entry pairs a crystal structure of BiAsH2 with its calculated PXRD pattern. Radiation: CuKα. Structure: a GGA-PBE-relaxed structure.
Neutral-atom scattering factors, no anomalous dispersion.

Atomic structure:
```
BiAsH2
1.0
7.672 0.000 0.000
0.000 3.700 0.000
-4.614 0.000 11.522
Bi As H
4 4 8
Direct
0.212 0.004 0.032
0.212 0.496 0.532
0.788 0.504 0.468
0.788 0.996 0.968
0.300 0.619 0.768
0.300 0.881 0.268
0.700 0.119 0.732
0.700 0.381 0.232
0.094 0.681 0.755
0.094 0.819 0.255
0.296 0.221 0.805
0.296 0.279 0.305
0.704 0.721 0.695
0.704 0.779 0.195
0.906 0.181 0.745
0.906 0.319 0.245
```

Peak list (8 most intense, 10° ≤ 2θ ≤ 80°, by intensity)
- 25.28°, 3.523 Å, I = 1000
- 33.66°, 2.663 Å, I = 930
- 25.00°, 3.561 Å, I = 827
- 15.78°, 5.614 Å, I = 635
- 44.00°, 2.058 Å, I = 632
- 15.38°, 5.761 Å, I = 468
- 26.93°, 3.311 Å, I = 466
- 31.05°, 2.880 Å, I = 360


No. 7
This entry pairs a crystal structure of ErSc3Rh2 with its calculated PXRD pattern. Radiation: CuKα. Structure: a GGA-PBE-relaxed structure.
Neutral-atom scattering factors, no anomalous dispersion.

Atomic structure:
```
ErSc3Rh2
1.0
4.337 0.000 0.000
0.000 8.389 0.000
0.000 0.000 6.876
Er Sc Rh
2 6 4
Direct
0.000 0.077 0.000
0.000 0.923 0.500
0.000 0.332 0.628
0.000 0.668 0.128
0.500 0.186 0.343
0.500 0.419 0.968
0.500 0.581 0.468
0.500 0.814 0.843
0.000 0.351 0.231
0.000 0.649 0.731
0.500 0.155 0.733
0.500 0.845 0.233
```

Peak list (8 most intense, 10° ≤ 2θ ≤ 80°, by intensity)
- 34.98°, 2.565 Å, I = 1000
- 32.42°, 2.761 Å, I = 592
- 41.64°, 2.169 Å, I = 431
- 10.54°, 8.389 Å, I = 381
- 38.30°, 2.350 Å, I = 380
- 26.52°, 3.361 Å, I = 373
- 24.86°, 3.581 Å, I = 316
- 34.63°, 2.590 Å, I = 251


No. 8
This entry pairs a crystal structure of Sr4Ga with its calculated PXRD pattern. Radiation: CuKα. Structure: a GGA-PBE-relaxed structure.
Neutral-atom scattering factors, no anomalous dispersion.

Atomic structure:
```
Sr4Ga
1.0
6.318 0.000 0.000
0.000 6.318 0.000
0.000 0.000 6.318
Sr Ga
4 1
Direct
0.000 0.000 0.000
0.000 0.500 0.500
0.500 0.000 0.500
0.500 0.500 0.000
0.500 0.500 0.500
```

Peak list (8 most intense, 10° ≤ 2θ ≤ 80°, by intensity)
- 28.25°, 3.159 Å, I = 1000
- 24.40°, 3.647 Å, I = 828
- 40.38°, 2.234 Å, I = 758
- 47.75°, 1.905 Å, I = 398
- 66.15°, 1.413 Å, I = 346
- 50.01°, 1.824 Å, I = 269
- 73.43°, 1.290 Å, I = 255
- 64.27°, 1.449 Å, I = 164